Computed XRD peak list of Ca3Co2O7 for a wavelength of 1.5418 Å, from a DFT-relaxed cell (GGA+U, the Materials Project).
Neutral-atom scattering factors, no anomalous dispersion.

Peak list (10 most intense, 2θ from 10° to 90°, sorted by position)
2θ (°)  Rel. int.
18.38  21
24.27  17
33.37  100
33.77  35
34.10  35
47.05  23
48.75  44
60.15  15
60.58  23
70.09  18

Structure:
Lattice parameters (Å, degrees): 19.3133 5.2581 5.3081 90.00 90.00 90.00
Space group Cmc2_1 (No. 36)
Symmetry-distinct sites (fractional):
1 Ca 0.0000 0.2426 0.0000 [4 per cell]
2 Ca 0.1864 0.2444 0.0836 [8 per cell]
3 Co 0.0972 0.2496 0.5429 [8 per cell]
4 O 0.0000 0.3254 0.5590 [4 per cell]
5 O 0.0827 0.0429 0.2508 [8 per cell]
6 O 0.1116 0.4594 0.8334 [8 per cell]
7 O 0.1949 0.2023 0.5374 [8 per cell]